This entry pairs a crystal structure of Nd3Sm with its theoretical XRD peak list. Radiation: Cu Kα, 1.54184 Å. Structure: the PBE geometry in the Materials Project.
Intensities are scaled so that the largest is 100.

Cell and atoms:
Cell lengths 5.191, 5.191, 5.191 Å; angles 90.00, 90.00, 90.00 degrees
Space group Pm-3m (No. 221)
Asymmetric unit:
Nd: 0.000 0.000 0.500
Sm: 0.500 0.500 0.500

Top 6 peaks for 2θ from 10° to 80°, in order of rising 2θ:
index	2theta	Rel. int.
1 1 1	29.81	100.0
2 0 0	34.56	50.7
2 2 0	49.68	36.4
3 1 1	59.02	43.4
2 2 2	61.93	12.5
4 0 0	72.89	5.8